1.
Computed X-ray powder pattern
Compound: Zr6CoAs2
Radiation: Cu Kα (weighted mean of Kα1 and Kα2)
Structure: the GGA-PBE geometry in the Materials Project

Largest 10 diffraction maxima, low angle first, 10° ≤ 2θ ≤ 90°:
d = 2.597 Å, rel. 100, (1 1 1); d = 2.469 Å, rel. 72, (2 1 0); d = 2.413 Å, rel. 95, (2 0 1); d = 2.177 Å, rel. 34, (3 0 0); d = 2.033 Å, rel. 30, (2 1 1); d = 1.790 Å, rel. 22, (0 0 2); d = 1.617 Å, rel. 18, (3 1 1); d = 1.449 Å, rel. 26, (2 1 2); d = 1.383 Å, rel. 47, (3 2 1); d = 1.115 Å, rel. 15, (5 1 1)

Structural model:
```
Zr6CoAs2
1.0
7.542 0.000 0.000
-3.771 6.532 0.000
0.000 0.000 3.581
Zr Co As
6 1 2
Direct
0.000 0.247 0.000
0.000 0.586 0.500
0.247 0.000 0.000
0.414 0.414 0.500
0.586 0.000 0.500
0.753 0.753 0.000
0.000 0.000 0.500
0.333 0.667 0.000
0.667 0.333 0.000
```

---

2.
Computed X-ray powder pattern
Compound: Na2RuO7
Radiation: Cu Kα (weighted mean of Kα1 and Kα2)
Structure: the GGA-PBE geometry in the Materials Project

Largest 10 diffraction maxima, low angle first, 10° ≤ 2θ ≤ 90°:
d = 8.772 Å, rel. 95, (0 0 1); d = 4.829 Å, rel. 87, (1 1 0); d = 4.638 Å, rel. 42, (1 1 1); d = 3.918 Å, rel. 100, (1 1 -1); d = 3.865 Å, rel. 73, (1 -1 1); d = 3.768 Å, rel. 85, (-1 1 1); d = 3.530 Å, rel. 64, (0 1 -2); d = 3.480 Å, rel. 36, (0 2 0); d = 3.372 Å, rel. 44, (0 2 1); d = 2.839 Å, rel. 35, (1 2 2)

Structural model:
```
Na2RuO7
1.0
6.041 0.000 0.000
1.070 7.008 0.000
1.451 1.030 8.772
Na Ru O
4 2 14
Direct
0.000 0.000 0.000
0.066 0.531 0.001
0.574 0.539 0.459
0.643 0.071 0.459
0.072 0.290 0.654
0.568 0.782 0.805
0.034 0.294 0.855
0.167 0.956 0.395
0.286 0.775 0.893
0.289 0.213 0.111
0.354 0.294 0.567
0.354 0.862 0.348
0.468 0.110 0.062
0.608 0.775 0.604
0.656 0.473 0.125
0.697 0.345 0.237
0.792 0.802 0.898
0.847 0.270 0.563
0.947 0.726 0.222
0.981 0.594 0.333
```